This entry pairs a crystal structure of RbNp2Cl8 with its simulated XRD peak list. Radiation: Cu Kα (λ = 1.5418 Å). Structure: a GGA-PBE-relaxed structure.
Intensities are scaled so that the largest is 100.

Cell and atoms:
Cell: 8.5655 12.8846 5.4659 Å, 90.00 99.28 90.00°
Space group C2/m (No. 12)
Unique sites:
Rb 0.0000 0.0000 0.0000 [2 per cell]
Np 0.0000 0.3221 0.5000 [4 per cell]
Cl 0.0000 0.2669 0.0000 [4 per cell]
Cl 0.0956 0.5000 0.7717 [4 per cell]
Cl 0.1901 0.1396 0.5705 [8 per cell]

Main lines, low angle first (2θ from 10° to 90°):
- 2θ 12.5, intensity 44
- 2θ 16.4, intensity 99
- 2θ 19.3, intensity 45
- 2θ 21.0, intensity 92
- 2θ 21.5, intensity 66
- 2θ 23.2, intensity 100
- 2θ 36.5, intensity 50
- 2θ 38.2, intensity 66
- 2θ 39.5, intensity 61
- 2θ 42.4, intensity 46